Starting from DFT lattice parameters and positions (PBE+U), the powder X-ray diffraction pattern of Ba2V2O5 was simulated for copper Kα.
Intensities are scaled so that the largest is 100.

Peak list (10 most intense, 10 to 80 degrees two-theta, in order of rising 2θ)
| 2theta | I_rel | h k l |
| --- | --- | --- |
| 22.0 | 19 | 1 0 0 |
| 30.8 | 100 | 1 0 2 |
| 31.4 | 39 | 1 1 0 |
| 38.2 | 27 | 1 1 2 |
| 43.3 | 15 | 0 0 4 |
| 45.0 | 28 | 2 0 0 |
| 54.5 | 17 | 1 1 4 |
| 55.5 | 37 | 2 1 2 |
| 64.2 | 17 | 2 0 4 |
| 65.5 | 8 | 2 2 0 |

Crystal structure
Unit cell a=4.0318 b=4.0318 c=8.3536 alpha=90.00 beta=90.00 gamma=90.00
Positions (direct):
Ba1 0.0000 0.0000 0.0000
Ba2 0.0000 0.0000 0.5000
V1 0.5000 0.5000 0.2392
V2 0.5000 0.5000 0.7608
O1 0.0000 0.5000 0.2723
O2 0.0000 0.5000 0.7277
O3 0.5000 0.0000 0.2723
O4 0.5000 0.0000 0.7277
O5 0.5000 0.5000 0.0000